No. 1
Simulated powder diffraction line list
Compound: KB2Se6S2
Radiation: λ = 1.5418 Å (Cu Kα)
Structure: a GGA-PBE-relaxed structure
Kinematic intensities with the Lorentz-polarization factor, no thermal factor.

Most intense lines, 2θ = 15–90°, in order of rising 2θ:
2θ = 15.68°, d 5.651, I = 1000; 2θ = 18.79°, d 4.722, I = 257; 2θ = 24.09°, d 3.694, I = 245; 2θ = 25.44°, d 3.502, I = 269; 2θ = 28.79°, d 3.100, I = 611; 2θ = 29.13°, d 3.066, I = 327; 2θ = 32.13°, d 2.786, I = 247; 2θ = 32.93°, d 2.720, I = 340; 2θ = 33.26°, d 2.693, I = 216; 2θ = 33.47°, d 2.677, I = 272

```
data_KB2Se6S2
_cell_length_a 6.200
_cell_length_b 7.511
_cell_length_c 7.783
_cell_angle_alpha 79.98
_cell_angle_beta 72.33
_cell_angle_gamma 84.40
_space_group_name_H-M_alt 'P -1'
_space_group_IT_number 2
loop_
_space_group_symop_operation_xyz
'x,y,z'
'-x,-y,-z'
loop_
_atom_site_label
_atom_site_type_symbol
_atom_site_fract_x
_atom_site_fract_y
_atom_site_fract_z
K1 K 0.000 0.000 0.000
B1 B 0.458 0.888 0.156
Se1 Se 0.216 0.704 0.341
Se2 Se 0.375 0.177 0.638
Se3 Se 0.396 0.164 0.104
S1 S 0.081 0.372 0.741
```



No. 2
Simulated powder diffraction line list
Compound: KBSe2
Radiation: λ = 1.5418 Å (Cu Kα)
Structure: a GGA-PBE-relaxed structure
Kinematic intensities with the Lorentz-polarization factor, no thermal factor.

Most intense lines, 2θ = 15–90°, in order of rising 2θ:
2θ = 23.76°, d 3.745, I = 280; 2θ = 29.64°, d 3.014, I = 256; 2θ = 32.22°, d 2.778, I = 1000; 2θ = 34.68°, d 2.587, I = 121; 2θ = 39.69°, d 2.271, I = 204; 2θ = 43.06°, d 2.100, I = 178; 2θ = 52.05°, d 1.757, I = 208; 2θ = 56.90°, d 1.618, I = 100; 2θ = 57.52°, d 1.602, I = 145; 2θ = 67.36°, d 1.390, I = 253

```
data_KBSe2
_cell_length_a 7.182
_cell_length_b 7.182
_cell_length_c 5.546
_cell_angle_alpha 90.00
_cell_angle_beta 90.00
_cell_angle_gamma 90.00
_space_group_name_H-M_alt 'P 42/m'
_space_group_IT_number 84
loop_
_space_group_symop_operation_xyz
'x,y,z'
'-x,-y,-z'
'-y,x,z+1/2'
'y,-x,-z+1/2'
'-x,-y,z'
'x,y,-z'
'y,-x,z+1/2'
'-y,x,-z+1/2'
loop_
_atom_site_label
_atom_site_type_symbol
_atom_site_fract_x
_atom_site_fract_y
_atom_site_fract_z
K1 K 0.000 0.500 0.000
B1 B 0.000 0.000 0.250
Se1 Se 0.087 0.199 0.500
```



No. 3
Simulated powder diffraction line list
Compound: KSnB
Radiation: λ = 1.5418 Å (Cu Kα)
Structure: a GGA-PBE-relaxed structure
Kinematic intensities with the Lorentz-polarization factor, no thermal factor.

Most intense lines, 2θ = 15–90°, in order of rising 2θ:
2θ = 17.17°, d 5.163, I = 688; 2θ = 27.32°, d 3.264, I = 564; 2θ = 30.38°, d 2.942, I = 758; 2θ = 30.94°, d 2.891, I = 375; 2θ = 31.65°, d 2.827, I = 1000; 2θ = 33.68°, d 2.661, I = 750; 2θ = 34.75°, d 2.582, I = 326; 2θ = 39.78°, d 2.266, I = 342; 2θ = 42.76°, d 2.115, I = 431; 2θ = 51.53°, d 1.774, I = 335

```
data_KSnB
_cell_length_a 14.051
_cell_length_b 3.246
_cell_length_c 6.746
_cell_angle_alpha 90.00
_cell_angle_beta 97.24
_cell_angle_gamma 90.00
_space_group_name_H-M_alt 'C 1 2/m 1'
_space_group_IT_number 12
loop_
_space_group_symop_operation_xyz
'x,y,z'
'-x,-y,-z'
'-x,y,-z'
'x,-y,z'
'x+1/2,y+1/2,z'
'-x+1/2,-y+1/2,-z'
'-x+1/2,y+1/2,-z'
'x+1/2,-y+1/2,z'
loop_
_atom_site_label
_atom_site_type_symbol
_atom_site_fract_x
_atom_site_fract_y
_atom_site_fract_z
K1 K 0.067 0.000 0.255
Sn1 Sn 0.180 0.500 0.839
B1 B 0.244 0.500 0.517
```



No. 4
Simulated powder diffraction line list
Compound: KSnB
Radiation: λ = 1.5418 Å (Cu Kα)
Structure: a GGA-PBE-relaxed structure
Kinematic intensities with the Lorentz-polarization factor, no thermal factor.

Most intense lines, 2θ = 15–90°, in order of rising 2θ:
2θ = 17.29°, d 5.128, I = 764; 2θ = 27.05°, d 3.296, I = 1000; 2θ = 27.38°, d 3.258, I = 408; 2θ = 27.71°, d 3.220, I = 365; 2θ = 28.24°, d 3.160, I = 327; 2θ = 29.63°, d 3.015, I = 629; 2θ = 29.97°, d 2.982, I = 547; 2θ = 32.67°, d 2.741, I = 363; 2θ = 35.00°, d 2.564, I = 264; 2θ = 54.53°, d 1.683, I = 283

```
data_KSnB
_cell_length_a 3.911
_cell_length_b 6.629
_cell_length_c 6.754
_cell_angle_alpha 79.49
_cell_angle_beta 82.92
_cell_angle_gamma 89.99
_space_group_name_H-M_alt 'P -1'
_space_group_IT_number 2
loop_
_space_group_symop_operation_xyz
'x,y,z'
'-x,-y,-z'
loop_
_atom_site_label
_atom_site_type_symbol
_atom_site_fract_x
_atom_site_fract_y
_atom_site_fract_z
K1 K 0.053 0.310 0.290
Sn1 Sn 0.431 0.194 0.769
B1 B 0.124 0.928 0.064
```



No. 5
Simulated powder diffraction line list
Compound: KSnB
Radiation: λ = 1.5418 Å (Cu Kα)
Structure: a GGA-PBE-relaxed structure
Kinematic intensities with the Lorentz-polarization factor, no thermal factor.

Most intense lines, 2θ = 15–90°, in order of rising 2θ:
2θ = 18.31°, d 4.847, I = 1000; 2θ = 25.96°, d 3.432, I = 435; 2θ = 26.47°, d 3.367, I = 499; 2θ = 28.55°, d 3.126, I = 739; 2θ = 29.37°, d 3.041, I = 403; 2θ = 33.75°, d 2.656, I = 720; 2θ = 34.64°, d 2.590, I = 399; 2θ = 39.44°, d 2.285, I = 406; 2θ = 45.48°, d 1.994, I = 356; 2θ = 49.64°, d 1.836, I = 473

```
data_KSnB
_cell_length_a 14.006
_cell_length_b 5.179
_cell_length_c 5.092
_cell_angle_alpha 90.00
_cell_angle_beta 101.10
_cell_angle_gamma 90.00
_space_group_name_H-M_alt 'C 1 2/m 1'
_space_group_IT_number 12
loop_
_space_group_symop_operation_xyz
'x,y,z'
'-x,-y,-z'
'-x,y,-z'
'x,-y,z'
'x+1/2,y+1/2,z'
'-x+1/2,-y+1/2,-z'
'-x+1/2,y+1/2,-z'
'x+1/2,-y+1/2,z'
loop_
_atom_site_label
_atom_site_type_symbol
_atom_site_fract_x
_atom_site_fract_y
_atom_site_fract_z
K1 K 0.157 0.000 0.182
Sn1 Sn 0.064 0.500 0.771
B1 B 0.000 0.152 0.500
```



No. 6
Simulated powder diffraction line list
Compound: KSrB12
Radiation: λ = 1.5418 Å (Cu Kα)
Structure: a GGA-PBE-relaxed structure
Kinematic intensities with the Lorentz-polarization factor, no thermal factor.

Most intense lines, 2θ = 15–90°, in order of rising 2θ:
2θ = 18.25°, d 4.861, I = 228; 2θ = 21.11°, d 4.209, I = 237; 2θ = 30.02°, d 2.977, I = 1000; 2θ = 35.36°, d 2.538, I = 144; 2θ = 36.99°, d 2.430, I = 457; 2θ = 42.97°, d 2.105, I = 238; 2θ = 48.35°, d 1.883, I = 431; 2θ = 53.31°, d 1.719, I = 146; 2θ = 66.65°, d 1.403, I = 304; 2θ = 70.78°, d 1.331, I = 217

```
data_KSrB12
_cell_length_a 8.419
_cell_length_b 8.419
_cell_length_c 8.419
_cell_angle_alpha 90.00
_cell_angle_beta 90.00
_cell_angle_gamma 90.00
_space_group_name_H-M_alt 'F m -3 m'
_space_group_IT_number 225
_space_group_name_Hall '-F 4 2 3'
loop_
_atom_site_label
_atom_site_type_symbol
_atom_site_fract_x
_atom_site_fract_y
_atom_site_fract_z
K1 K 0.000 0.000 0.000
Sr1 Sr 0.000 0.000 0.500
B1 B 0.100 0.250 0.250
```



No. 7
Simulated powder diffraction line list
Compound: K2BTe5
Radiation: λ = 1.5418 Å (Cu Kα)
Structure: a GGA-PBE-relaxed structure
Kinematic intensities with the Lorentz-polarization factor, no thermal factor.

Most intense lines, 2θ = 15–90°, in order of rising 2θ:
2θ = 15.14°, d 5.853, I = 260; 2θ = 27.31°, d 3.266, I = 683; 2θ = 29.40°, d 3.038, I = 1000; 2θ = 30.54°, d 2.927, I = 826; 2θ = 37.99°, d 2.368, I = 561; 2θ = 47.41°, d 1.917, I = 476; 2θ = 49.59°, d 1.838, I = 233; 2θ = 50.34°, d 1.813, I = 204; 2θ = 62.77°, d 1.480, I = 201; 2θ = 69.99°, d 1.344, I = 143

```
data_K2BTe5
_cell_length_a 6.548
_cell_length_b 6.864
_cell_length_c 13.060
_cell_angle_alpha 90.00
_cell_angle_beta 90.00
_cell_angle_gamma 90.00
_space_group_name_H-M_alt 'I m m 2'
_space_group_IT_number 44
loop_
_space_group_symop_operation_xyz
'x,y,z'
'-x,-y,z'
'-x,y,z'
'x,-y,z'
'x+1/2,y+1/2,z+1/2'
'-x+1/2,-y+1/2,z+1/2'
'-x+1/2,y+1/2,z+1/2'
'x+1/2,-y+1/2,z+1/2'
loop_
_atom_site_label
_atom_site_type_symbol
_atom_site_fract_x
_atom_site_fract_y
_atom_site_fract_z
K1 K 0.000 0.000 0.000
K2 K 0.000 0.000 0.490
B1 B 0.000 0.500 0.820
Te1 Te 0.000 0.500 0.989
Te2 Te 0.222 0.252 0.739
```



No. 8
Simulated powder diffraction line list
Compound: KTlB2
Radiation: λ = 1.5418 Å (Cu Kα)
Structure: a GGA-PBE-relaxed structure
Kinematic intensities with the Lorentz-polarization factor, no thermal factor.

Most intense lines, 2θ = 15–90°, in order of rising 2θ:
2θ = 20.12°, d 4.413, I = 642; 2θ = 21.77°, d 4.082, I = 455; 2θ = 25.40°, d 3.506, I = 261; 2θ = 29.66°, d 3.012, I = 1000; 2θ = 39.31°, d 2.292, I = 234; 2θ = 43.42°, d 2.084, I = 352; 2θ = 45.38°, d 1.998, I = 310; 2θ = 47.39°, d 1.918, I = 142; 2θ = 65.39°, d 1.427, I = 207; 2θ = 74.12°, d 1.279, I = 164

```
data_KTlB2
_cell_length_a 4.584
_cell_length_b 4.584
_cell_length_c 16.329
_cell_angle_alpha 90.00
_cell_angle_beta 90.00
_cell_angle_gamma 90.00
_space_group_name_H-M_alt 'I 41/a m d'
_space_group_IT_number 141
loop_
_space_group_symop_operation_xyz
'x,y,z'
'-x,-y,-z'
'-y+1/4,x+3/4,z+1/4'
'y+1/4,-x+3/4,-z+1/4'
'-x+1/2,-y,z+1/2'
'x+1/2,y,-z+1/2'
'y+1/4,-x+1/4,z+3/4'
'-y+1/4,x+1/4,-z+3/4'
'x,-y,-z'
'-x,y,z'
'-y+1/4,-x+1/4,-z+3/4'
'y+1/4,x+1/4,z+3/4'
'-x+1/2,y,-z+1/2'
'x+1/2,-y,z+1/2'
'y+1/4,x+3/4,-z+1/4'
'-y+1/4,-x+3/4,z+1/4'
'x+1/2,y+1/2,z+1/2'
'-x+1/2,-y+1/2,-z+1/2'
'-y+3/4,x+1/4,z+3/4'
'y+3/4,-x+1/4,-z+3/4'
'-x,-y+1/2,z'
'x,y+1/2,-z'
'y+3/4,-x+3/4,z+1/4'
'-y+3/4,x+3/4,-z+1/4'
'x+1/2,-y+1/2,-z+1/2'
'-x+1/2,y+1/2,z+1/2'
'-y+3/4,-x+3/4,-z+1/4'
'y+3/4,x+3/4,z+1/4'
'-x,y+1/2,-z'
'x,-y+1/2,z'
'y+3/4,x+1/4,-z+3/4'
'-y+3/4,-x+1/4,z+3/4'
loop_
_atom_site_label
_atom_site_type_symbol
_atom_site_fract_x
_atom_site_fract_y
_atom_site_fract_z
K1 K 0.000 0.250 0.375
Tl1 Tl 0.000 0.250 0.875
B1 B 0.000 0.000 0.000
```